(1)
# Nd2PuPaIr2
Calculated X-ray diffraction stick pattern, Cu Kα, 1.54184 Å. Input: a cell relaxed with PBE.

Largest 10 diffraction maxima, in order of rising 2θ, 2θ = 15–90°:
2θ/deg, d_spacing, intensity, hkl
28.67, 3.114, 41.7, 0 2 2
29.12, 3.067, 40.5, 2 2 0
32.43, 2.761, 62.2, 1 4 1
36.43, 2.466, 100.0, 2 0 2
37.15, 2.420, 44.0, 0 4 2
37.51, 2.398, 42.1, 2 4 0
38.94, 2.313, 20.4, 2 2 2
49.28, 1.849, 19.4, 1 4 3
51.92, 1.761, 18.8, 0 0 4
82.24, 1.172, 18.4, 2 10 2

Structural model:
abc: 6.9091 13.3241 7.0443
angles: 90.00 90.00 90.00
Space group Ibam (No. 72)
Inequivalent atoms, fractional coordinates:
Nd 0.2424 0.1857 0.0000 x8
Pu 0.0000 0.0000 0.2500 x4
Pa 0.0000 0.5000 0.2500 x4
Ir 0.2325 0.4032 0.0000 x8

(2)
# CeDy12Tm6
Calculated X-ray diffraction stick pattern, Cu Kα, 1.54184 Å. Input: a cell relaxed with PBE.

Largest 10 diffraction maxima, in order of rising 2θ, 2θ = 15–90°:
2θ/deg, d_spacing, intensity, hkl
29.17, 3.062, 24.3, 1 3 1
30.11, 2.968, 50.8, 1 0 4
31.83, 2.811, 52.4, 3 1 2
32.12, 2.786, 63.6, 0 3 3
32.25, 2.776, 100.0, 4 0 1
34.70, 2.585, 35.6, 0 4 2
34.97, 2.566, 33.3, 2 2 3
35.08, 2.558, 28.2, 3 2 1
55.88, 1.645, 24.4, 4 4 0
57.61, 1.600, 24.7, 4 3 4

Structural model:
abc: 13.1619 13.1619 12.2962
angles: 90.00 90.00 120.00
Space group R-3m (No. 166, hexagonal axes)
Inequivalent atoms, fractional coordinates:
Ce 0.0000 0.0000 0.0000 x3
Dy 0.0000 0.2568 0.5000 x18
Dy 0.0908 0.1815 0.2602 x18
Tm 0.0397 0.5199 0.6241 x18